No. 1
The following is a theoretical XRD peak list of PbClF. It was derived from a DFT-relaxed cell (PBE, the Materials Project), using a wavelength of 1.5418 Å.
Kinematic intensities with the Lorentz-polarization factor, no thermal factor.

Crystal structure
a b c (Å): 4.745 5.822 5.828
angles (deg): 90.00 91.74 90.00
Sites, in units of the cell vectors:
Pb: 0.136 0.000 0.259
Pb: 0.864 0.500 0.741
Cl: 0.001 0.000 0.761
Cl: 0.999 0.500 0.239
F: 0.371 0.488 0.735
F: 0.629 0.988 0.265

Main lines, in order of rising 2θ (2θ from 10° to 90°):
d 4.742, 18.7°, rel. 50; d 4.118, 21.6°, rel. 100; d 3.734, 23.8°, rel. 21; d 3.677, 24.2°, rel. 43; d 3.624, 24.6°, rel. 21; d 2.912, 30.7°, rel. 83; d 2.481, 36.2°, rel. 19; d 2.196, 41.1°, rel. 28; d 2.059, 44.0°, rel. 30; d 1.842, 49.5°, rel. 24


No. 2
The following is a theoretical XRD peak list of Be2CoSi. It was derived from a DFT-relaxed cell (PBE, the Materials Project), using a wavelength of 1.5418 Å.
Kinematic intensities with the Lorentz-polarization factor, no thermal factor.

Crystal structure
a b c (Å): 5.325 5.325 5.325
angles (deg): 90.00 90.00 90.00
Sites, in units of the cell vectors:
Be: 0.000 0.000 0.000
Be: 0.000 0.500 0.500
Be: 0.250 0.250 0.250
Be: 0.250 0.750 0.750
Be: 0.500 0.000 0.500
Be: 0.500 0.500 0.000
Be: 0.750 0.250 0.750
Be: 0.750 0.750 0.250
Co: 0.000 0.000 0.500
Co: 0.000 0.500 0.000
Co: 0.500 0.000 0.000
Co: 0.500 0.500 0.500
Si: 0.250 0.250 0.750
Si: 0.250 0.750 0.250
Si: 0.750 0.250 0.250
Si: 0.750 0.750 0.750

Main lines, in order of rising 2θ (2θ from 10° to 90°):
d 3.074, 29.0°, rel. 100; d 2.662, 33.7°, rel. 16; d 1.883, 48.3°, rel. 99; d 1.605, 57.4°, rel. 40; d 1.537, 60.2°, rel. 3; d 1.331, 70.8°, rel. 15; d 1.222, 78.3°, rel. 15; d 1.191, 80.7°, rel. 4


No. 3
The following is a theoretical XRD peak list of Mg2TiCr3S8. It was derived from a DFT-relaxed cell (PBE, the Materials Project), using a wavelength of 1.5418 Å.
Kinematic intensities with the Lorentz-polarization factor, no thermal factor.

Crystal structure
a b c (Å): 7.233 7.233 7.233
angles (deg): 60.48 60.48 60.48
Sites, in units of the cell vectors:
Mg: 0.125 0.125 0.125
Mg: 0.875 0.875 0.875
Ti: 0.500 0.500 0.500
Cr: 0.000 0.500 0.500
Cr: 0.500 0.000 0.500
Cr: 0.500 0.500 0.000
S: 0.259 0.259 0.714
S: 0.259 0.714 0.259
S: 0.263 0.263 0.263
S: 0.286 0.741 0.741
S: 0.714 0.259 0.259
S: 0.737 0.737 0.737
S: 0.741 0.286 0.741
S: 0.741 0.741 0.286

Main lines, in order of rising 2θ (2θ from 10° to 90°):
d 5.941, 14.9°, rel. 48; d 5.884, 15.1°, rel. 24; d 3.100, 28.8°, rel. 53; d 3.081, 29.0°, rel. 17; d 2.566, 35.0°, rel. 100; d 1.976, 45.9°, rel. 21; d 1.970, 46.1°, rel. 14; d 1.821, 50.1°, rel. 49; d 1.808, 50.5°, rel. 46; d 1.485, 62.5°, rel. 14


No. 4
The following is a theoretical XRD peak list of SmSbPt. It was derived from a DFT-relaxed cell (PBE, the Materials Project), using a wavelength of 1.5418 Å.
Kinematic intensities with the Lorentz-polarization factor, no thermal factor.

Crystal structure
a b c (Å): 6.953 6.953 6.953
angles (deg): 90.00 90.00 90.00
Sites, in units of the cell vectors:
Sm: 0.000 0.000 0.000
Sm: 0.000 0.500 0.500
Sm: 0.500 0.000 0.500
Sm: 0.500 0.500 0.000
Sb: 0.250 0.250 0.750
Sb: 0.250 0.750 0.250
Sb: 0.750 0.250 0.250
Sb: 0.750 0.750 0.750
Pt: 0.250 0.250 0.250
Pt: 0.250 0.750 0.750
Pt: 0.750 0.250 0.750
Pt: 0.750 0.750 0.250

Main lines, in order of rising 2θ (2θ from 10° to 90°):
d 4.014, 22.1°, rel. 31; d 3.477, 25.6°, rel. 16; d 2.458, 36.6°, rel. 100; d 2.096, 43.1°, rel. 16; d 1.738, 52.7°, rel. 18; d 1.595, 57.8°, rel. 7; d 1.555, 59.4°, rel. 6; d 1.419, 65.8°, rel. 36; d 1.229, 77.7°, rel. 11; d 1.099, 89.0°, rel. 17


No. 5
The following is a theoretical XRD peak list of Cs2BaCl4. It was derived from a DFT-relaxed cell (PBE, the Materials Project), using a wavelength of 1.5418 Å.
Kinematic intensities with the Lorentz-polarization factor, no thermal factor.

Crystal structure
a b c (Å): 8.687 8.687 8.687
angles (deg): 110.55 110.55 107.34
Sites, in units of the cell vectors:
Cs: 0.375 0.232 0.357
Cs: 0.768 0.125 0.143
Cs: 0.875 0.018 0.643
Cs: 0.982 0.625 0.857
Ba: 0.250 0.750 0.500
Ba: 0.500 0.500 0.000
Cl: 0.150 0.405 0.122
Cl: 0.155 0.400 0.622
Cl: 0.283 0.028 0.878
Cl: 0.467 0.845 0.245
Cl: 0.595 0.717 0.745
Cl: 0.600 0.222 0.755
Cl: 0.778 0.533 0.378
Cl: 0.972 0.850 0.255

Main lines, in order of rising 2θ (2θ from 10° to 90°):
d 4.146, 21.4°, rel. 47; d 4.066, 21.9°, rel. 100; d 3.242, 27.5°, rel. 64; d 3.141, 28.4°, rel. 43; d 3.130, 28.5°, rel. 67; d 2.712, 33.0°, rel. 42; d 2.674, 33.5°, rel. 37; d 2.652, 33.8°, rel. 32; d 2.213, 40.8°, rel. 27; d 1.620, 56.8°, rel. 25


No. 6
The following is a theoretical XRD peak list of BaNdHfZrO6. It was derived from a DFT-relaxed cell (PBE, the Materials Project), using a wavelength of 1.5418 Å.
Kinematic intensities with the Lorentz-polarization factor, no thermal factor.

Crystal structure
a b c (Å): 5.922 5.922 5.922
angles (deg): 60.00 60.00 60.00
Sites, in units of the cell vectors:
Ba: 0.000 0.000 0.000
Nd: 0.500 0.500 0.500
Hf: 0.750 0.750 0.750
Zr: 0.250 0.250 0.250
O: 0.502 0.502 0.998
O: 0.502 0.998 0.502
O: 0.502 0.998 0.998
O: 0.998 0.502 0.502
O: 0.998 0.502 0.998
O: 0.998 0.998 0.502

Main lines, in order of rising 2θ (2θ from 10° to 90°):
d 4.835, 18.3°, rel. 6; d 2.961, 30.2°, rel. 100; d 2.525, 35.6°, rel. 3; d 2.418, 37.2°, rel. 2; d 2.094, 43.2°, rel. 29; d 1.709, 53.6°, rel. 41; d 1.480, 62.8°, rel. 18; d 1.324, 71.2°, rel. 18; d 1.209, 79.3°, rel. 6; d 1.119, 87.1°, rel. 21


No. 7
The following is a theoretical XRD peak list of ZrAlFe4. It was derived from a DFT-relaxed cell (PBE, the Materials Project), using a wavelength of 1.5418 Å.
Kinematic intensities with the Lorentz-polarization factor, no thermal factor.

Crystal structure
a b c (Å): 4.786 4.786 4.786
angles (deg): 60.00 60.00 60.00
Sites, in units of the cell vectors:
Zr: 0.000 0.000 0.000
Al: 0.250 0.250 0.250
Fe: 0.128 0.624 0.624
Fe: 0.624 0.128 0.624
Fe: 0.624 0.624 0.128
Fe: 0.624 0.624 0.624

Main lines, in order of rising 2θ (2θ from 10° to 90°):
d 3.907, 22.8°, rel. 15; d 3.384, 26.3°, rel. 12; d 2.393, 37.6°, rel. 27; d 2.041, 44.4°, rel. 100; d 1.954, 46.5°, rel. 40; d 1.692, 54.2°, rel. 4; d 1.513, 61.2°, rel. 3; d 1.381, 67.8°, rel. 9; d 1.302, 72.6°, rel. 28; d 1.196, 80.2°, rel. 23